[1]
Starting from a PBE-relaxed structure, the X-ray powder pattern of TaNbSi was simulated for λ = 1.5418 Å (Cu Kα).
No peak broadening, texture or thermal motion is included.

The 12 most intense peaks (2θ = 10–90°), by angle:
20.3°, I 14; 28.8°, I 11; 35.1°, I 20; 36.9°, I 100; 40.8°, I 12; 46.0°, I 15; 46.4°, I 17; 64.1°, I 20; 64.7°, I 17; 74.9°, I 13; 86.3°, I 8; 86.8°, I 10

Atomic structure:
abc: 5.1194 8.7586 8.7593
angles: 90.00 90.00 90.00
Space group Fmmm (No. 69)
Inequivalent atoms, fractional coordinates:
Ta (0.0000, 0.1633, 0.0000) [8 per cell]
Nb (0.0000, 0.0000, 0.3368) [8 per cell]
Si (0.2500, 0.2500, 0.2500) [8 per cell]

=====

[2]
Starting from a PBE-relaxed structure, the X-ray powder pattern of Zr4ZnNi was simulated for λ = 1.5418 Å (Cu Kα).
No peak broadening, texture or thermal motion is included.

The 12 most intense peaks (2θ = 10–90°), by angle:
34.5°, I 100; 35.3°, I 8; 37.6°, I 9; 40.1°, I 25; 42.3°, I 39; 44.6°, I 24; 59.2°, I 13; 62.8°, I 17; 66.4°, I 13; 69.6°, I 18; 78.5°, I 12; 89.6°, I 9

Atomic structure:
abc: 6.7588 6.7588 5.0916
angles: 90.00 90.00 90.00
Space group I422 (No. 97)
Inequivalent atoms, fractional coordinates:
Zr (0.1580, 0.3420, 0.2500) [8 per cell]
Zn (0.0000, 0.0000, 0.5000) [2 per cell]
Ni (0.0000, 0.0000, 0.0000) [2 per cell]

=====

[3]
Starting from a PBE-relaxed structure, the X-ray powder pattern of DyOsI was simulated for λ = 1.5418 Å (Cu Kα).
No peak broadening, texture or thermal motion is included.

The 12 most intense peaks (2θ = 10–90°), by angle:
22.0°, I 13; 29.9°, I 100; 31.4°, I 27; 34.8°, I 36; 36.6°, I 47; 42.9°, I 70; 43.5°, I 26; 44.8°, I 19; 53.1°, I 20; 57.6°, I 13; 63.7°, I 41; 70.5°, I 17

Atomic structure:
abc: 4.2203 4.2203 36.3995
angles: 90.00 90.00 120.00
Space group R-3m (No. 166, hexagonal axes)
Inequivalent atoms, fractional coordinates:
Dy (0.0000, 0.0000, 0.0540) [6 per cell]
Os (0.0000, 0.0000, 0.3362) [6 per cell]
I (0.0000, 0.0000, 0.2222) [6 per cell]

=====

[4]
Starting from a PBE-relaxed structure, the X-ray powder pattern of LaThSi2 was simulated for λ = 1.5418 Å (Cu Kα).
No peak broadening, texture or thermal motion is included.

The 12 most intense peaks (2θ = 10–90°), by angle:
21.4°, I 35; 26.2°, I 36; 26.8°, I 47; 28.9°, I 100; 31.1°, I 73; 31.8°, I 85; 34.6°, I 47; 35.8°, I 44; 39.1°, I 41; 45.3°, I 24; 50.4°, I 38; 56.4°, I 34

Atomic structure:
abc: 4.0007 5.9820 8.2916
angles: 90.00 90.00 90.00
Space group Pmc2_1 (No. 26)
Inequivalent atoms, fractional coordinates:
La (0.0000, 0.1324, 0.0000) [2 per cell]
Th (0.5000, 0.3702, 0.3618) [2 per cell]
Si (0.0000, 0.3753, 0.6437) [2 per cell]
Si (0.5000, 0.1341, 0.7154) [2 per cell]

=====

[5]
Starting from a PBE-relaxed structure, the X-ray powder pattern of LaTb2TlC was simulated for λ = 1.5418 Å (Cu Kα).
No peak broadening, texture or thermal motion is included.

The 12 most intense peaks (2θ = 10–90°), by angle:
30.6°, I 100; 34.7°, I 19; 35.9°, I 35; 50.8°, I 26; 51.7°, I 12; 59.7°, I 15; 61.3°, I 28; 63.8°, I 13; 82.9°, I 12; 84.3°, I 12; 86.5°, I 6; 87.2°, I 6

Atomic structure:
abc: 5.0005 5.0005 5.1700
angles: 90.00 90.00 90.00
Space group P4/mmm (No. 123)
Inequivalent atoms, fractional coordinates:
La (0.0000, 0.0000, 0.0000) [1 per cell]
Tb (0.0000, 0.5000, 0.5000) [2 per cell]
Tl (0.5000, 0.5000, 0.0000) [1 per cell]
C (0.0000, 0.0000, 0.5000) [1 per cell]

=====

[6]
Starting from a PBE-relaxed structure, the X-ray powder pattern of Pr4Ho3ErSe8 was simulated for λ = 1.5418 Å (Cu Kα).
No peak broadening, texture or thermal motion is included.

The 12 most intense peaks (2θ = 10–90°), by angle:
26.5°, I 14; 30.4°, I 100; 42.8°, I 38; 44.2°, I 36; 52.2°, I 7; 54.6°, I 19; 63.2°, I 12; 70.7°, I 16; 72.8°, I 16; 77.4°, I 6; 80.4°, I 12; 81.4°, I 6

Atomic structure:
abc: 8.1902 8.1902 21.0367
angles: 90.00 90.00 120.00
Space group R-3m (No. 166, hexagonal axes)
Inequivalent atoms, fractional coordinates:
Pr (0.0000, 0.0000, 0.0000) [3 per cell]
Pr (0.0000, 0.5000, 0.0000) [9 per cell]
Ho (0.0000, 0.5000, 0.5000) [9 per cell]
Er (0.0000, 0.0000, 0.5000) [3 per cell]
Se (0.0000, 0.0000, 0.2432) [6 per cell]
Se (0.0009, 0.5005, 0.2430) [18 per cell]